No. 1
For LiMg2Sn9, a crystal structure in Alexandria, relaxed with GGA-PBE gives the theoretical X-ray diffraction stick pattern in this record (λ = 1.5418 Å (Cu Kα)).
Peak positions follow from Bragg's law for the DFT cell and can differ from measured ones.

Most intense lines, 5 to 70 degrees two-theta, low angle first:
| d/Å | I/Imax | h k l |
| --- | --- | --- |
| 4.820 | 15 | 1 0 0 |
| 2.704 | 100 | 1 1 3 |
| 2.410 | 36 | 2 0 0 |
| 2.221 | 14 | 0 0 6 |
| 1.704 | 13 | 2 2 0 |
| 1.633 | 23 | 2 0 6 |
| 1.442 | 30 | 3 1 3 |
| 1.358 | 13 | 1 1 9 |

Structure:
```
data_LiMg2Sn9
_chemical_formula_sum 'Li1 Mg2 Sn9'
_cell_length_a 4.820
_cell_length_b 4.820
_cell_length_c 13.326
_cell_angle_alpha 90.00
_cell_angle_beta 90.00
_cell_angle_gamma 90.00
_symmetry_space_group_name_H-M 'P 4/m m m'
_symmetry_Int_Tables_number 123
_symmetry_space_group_name_Hall '-P 4 2'
loop_
_atom_site_label
_atom_site_type_symbol
_atom_site_fract_x
_atom_site_fract_y
_atom_site_fract_z
Li1 Li 0.000 0.000 0.000
Mg1 Mg 0.000 0.000 0.333
Sn1 Sn 0.000 0.500 0.167
Sn2 Sn 0.000 0.500 0.500
Sn3 Sn 0.500 0.500 0.000
Sn4 Sn 0.500 0.500 0.335
```



No. 2
For LiMg5Sn5, a crystal structure in Alexandria, relaxed with GGA-PBE gives the theoretical X-ray diffraction stick pattern in this record (λ = 1.5418 Å (Cu Kα)).
Peak positions follow from Bragg's law for the DFT cell and can differ from measured ones.

Most intense lines, 5 to 70 degrees two-theta, low angle first:
| d/Å | I/Imax | h k l |
| --- | --- | --- |
| 4.898 | 38 | 1 1 0 |
| 3.656 | 100 | 1 1 -2 |
| 3.113 | 30 | 4 0 -2 |
| 3.093 | 44 | 3 1 0 |
| 2.884 | 52 | 2 0 2 |
| 2.718 | 60 | 0 2 0 |
| 2.470 | 29 | 2 0 -4 |
| 1.978 | 36 | 2 2 2 |

Structure:
```
data_LiMg5Sn5
_chemical_formula_sum 'Li2 Mg10 Sn10'
_cell_length_a 12.709
_cell_length_b 5.437
_cell_length_c 9.911
_cell_angle_alpha 90.00
_cell_angle_beta 117.42
_cell_angle_gamma 90.00
_symmetry_space_group_name_H-M 'C 1 2/m 1'
_symmetry_Int_Tables_number 12
loop_
_symmetry_equiv_pos_as_xyz
'x,y,z'
'-x,-y,-z'
'-x,y,-z'
'x,-y,z'
'x+1/2,y+1/2,z'
'-x+1/2,-y+1/2,-z'
'-x+1/2,y+1/2,-z'
'x+1/2,-y+1/2,z'
loop_
_atom_site_label
_atom_site_type_symbol
_atom_site_fract_x
_atom_site_fract_y
_atom_site_fract_z
Li1 Li 0.000 0.000 0.000
Mg1 Mg 0.000 0.000 0.500
Mg2 Mg 0.212 0.500 0.848
Mg3 Mg 0.221 0.500 0.295
Sn1 Sn 0.000 0.500 0.000
Sn2 Sn 0.108 0.000 0.827
Sn3 Sn 0.165 0.000 0.360
```



No. 3
For LiMgSn, a crystal structure in Alexandria, relaxed with GGA-PBE gives the theoretical X-ray diffraction stick pattern in this record (λ = 1.5418 Å (Cu Kα)).
Peak positions follow from Bragg's law for the DFT cell and can differ from measured ones.

Most intense lines, 5 to 70 degrees two-theta, low angle first:
| d/Å | I/Imax | h k l |
| --- | --- | --- |
| 4.157 | 100 | 0 1 1 |
| 4.021 | 38 | 0 0 2 |
| 3.147 | 67 | 1 0 1 |
| 2.796 | 32 | 1 1 0 |
| 2.428 | 25 | 0 2 0 |
| 2.347 | 40 | 0 1 3 |
| 2.296 | 71 | 1 1 2 |
| 1.923 | 34 | 1 2 1 |

Structure:
```
data_LiMgSn
_chemical_formula_sum 'Li2 Mg2 Sn2'
_cell_length_a 3.419
_cell_length_b 4.857
_cell_length_c 8.042
_cell_angle_alpha 90.00
_cell_angle_beta 90.00
_cell_angle_gamma 90.00
_symmetry_space_group_name_H-M 'P m m n'
_symmetry_Int_Tables_number 59
loop_
_symmetry_equiv_pos_as_xyz
'x,y,z'
'-x,-y,-z'
'-x+1/2,-y+1/2,z'
'x+1/2,y+1/2,-z'
'x+1/2,-y,-z'
'-x+1/2,y,z'
'-x,y+1/2,-z'
'x,-y+1/2,z'
loop_
_atom_site_label
_atom_site_type_symbol
_atom_site_fract_x
_atom_site_fract_y
_atom_site_fract_z
Li1 Li 0.250 0.250 0.116
Mg1 Mg 0.250 0.750 0.552
Sn1 Sn 0.250 0.250 0.762
```



No. 4
For LiMg4Sn4, a crystal structure in Alexandria, relaxed with GGA-PBE gives the theoretical X-ray diffraction stick pattern in this record (λ = 1.5418 Å (Cu Kα)).
Peak positions follow from Bragg's law for the DFT cell and can differ from measured ones.

Most intense lines, 5 to 70 degrees two-theta, low angle first:
| d/Å | I/Imax | h k l |
| --- | --- | --- |
| 6.717 | 32 | 1 1 0 |
| 3.359 | 29 | 2 2 0 |
| 3.142 | 54 | 2 1 1 |
| 2.621 | 100 | 3 0 1 |
| 2.239 | 30 | 3 3 0 |
| 1.650 | 22 | 5 2 1 |
| 1.616 | 22 | 3 3 2 |
| 1.355 | 20 | 6 3 1 |

Structure:
```
data_LiMg4Sn4
_chemical_formula_sum 'Li2 Mg8 Sn8'
_cell_length_a 9.500
_cell_length_b 9.500
_cell_length_c 4.668
_cell_angle_alpha 90.00
_cell_angle_beta 90.00
_cell_angle_gamma 90.00
_symmetry_space_group_name_H-M 'I 4/m m m'
_symmetry_Int_Tables_number 139
_symmetry_space_group_name_Hall '-I 4 2'
loop_
_atom_site_label
_atom_site_type_symbol
_atom_site_fract_x
_atom_site_fract_y
_atom_site_fract_z
Li1 Li 0.000 0.000 0.000
Mg1 Mg 0.165 0.165 0.500
Sn1 Sn 0.000 0.312 0.000
```



No. 5
For Li5Mg3Sn4, a crystal structure in Alexandria, relaxed with GGA-PBE gives the theoretical X-ray diffraction stick pattern in this record (λ = 1.5418 Å (Cu Kα)).
Peak positions follow from Bragg's law for the DFT cell and can differ from measured ones.

Most intense lines, 5 to 70 degrees two-theta, low angle first:
| d/Å | I/Imax | h k l |
| --- | --- | --- |
| 4.428 | 100 | 1 1 1 |
| 3.874 | 99 | 0 0 2 |
| 3.576 | 29 | 1 -1 0 |
| 3.445 | 56 | 1 1 -1 |
| 2.906 | 47 | 0 2 0 |
| 2.360 | 35 | 0 2 2 |
| 2.312 | 29 | 2 2 1 |
| 2.291 | 42 | 0 2 -2 |

Structure:
```
data_Li5Mg3Sn4
_chemical_formula_sum 'Li5 Mg3 Sn4'
_cell_length_a 5.794
_cell_length_b 5.979
_cell_length_c 8.209
_cell_angle_alpha 83.98
_cell_angle_beta 70.83
_cell_angle_gamma 76.50
_symmetry_space_group_name_H-M 'P -1'
_symmetry_Int_Tables_number 2
loop_
_symmetry_equiv_pos_as_xyz
'x,y,z'
'-x,-y,-z'
loop_
_atom_site_label
_atom_site_type_symbol
_atom_site_fract_x
_atom_site_fract_y
_atom_site_fract_z
Li1 Li 0.000 0.000 0.000
Li2 Li 0.143 0.727 0.362
Li3 Li 0.237 0.555 0.012
Mg1 Mg 0.489 0.770 0.647
Mg2 Mg 0.500 0.000 0.000
Sn1 Sn 0.045 0.237 0.269
Sn2 Sn 0.301 0.291 0.733
```



No. 6
For LiThMgSn2, a crystal structure in Alexandria, relaxed with GGA-PBE gives the theoretical X-ray diffraction stick pattern in this record (λ = 1.5418 Å (Cu Kα)).
Peak positions follow from Bragg's law for the DFT cell and can differ from measured ones.

Most intense lines, 5 to 70 degrees two-theta, low angle first:
| d/Å | I/Imax | h k l |
| --- | --- | --- |
| 6.438 | 65 | 0 0 2 |
| 3.099 | 82 | 1 1 0 |
| 3.067 | 100 | 1 0 3 |
| 2.793 | 59 | 1 1 2 |
| 2.220 | 72 | 1 0 5 |
| 2.192 | 42 | 2 0 0 |
| 1.783 | 43 | 2 1 3 |
| 1.560 | 49 | 2 1 5 |

Structure:
```
data_LiThMgSn2
_chemical_formula_sum 'Li2 Th2 Mg2 Sn4'
_cell_length_a 4.383
_cell_length_b 4.383
_cell_length_c 12.876
_cell_angle_alpha 90.00
_cell_angle_beta 90.00
_cell_angle_gamma 90.00
_symmetry_space_group_name_H-M 'I -4 m 2'
_symmetry_Int_Tables_number 119
_symmetry_space_group_name_Hall 'I -4 -2'
loop_
_atom_site_label
_atom_site_type_symbol
_atom_site_fract_x
_atom_site_fract_y
_atom_site_fract_z
Li1 Li 0.000 0.000 0.000
Th1 Th 0.000 0.500 0.250
Mg1 Mg 0.000 0.000 0.500
Sn1 Sn 0.000 0.500 0.639
```



No. 7
For Li2YMg2Sn2, a crystal structure in Alexandria, relaxed with GGA-PBE gives the theoretical X-ray diffraction stick pattern in this record (λ = 1.5418 Å (Cu Kα)).
Peak positions follow from Bragg's law for the DFT cell and can differ from measured ones.

Most intense lines, 5 to 70 degrees two-theta, low angle first:
| d/Å | I/Imax | h k l |
| --- | --- | --- |
| 8.171 | 28 | 0 0 3 |
| 4.004 | 22 | 1 0 1 |
| 3.853 | 41 | 0 1 2 |
| 3.384 | 100 | 1 0 4 |
| 2.651 | 46 | 1 0 7 |
| 2.445 | 66 | 0 1 8 |
| 2.343 | 79 | 1 1 0 |
| 1.372 | 22 | 1 2 8 |

Structure:
```
data_Li2YMg2Sn2
_chemical_formula_sum 'Li6 Y3 Mg6 Sn6'
_cell_length_a 4.6860
_cell_length_b 4.6860
_cell_length_c 24.5129
_cell_angle_alpha 90.00
_cell_angle_beta 90.00
_cell_angle_gamma 120.00
_symmetry_space_group_name_H-M 'R -3 m'
_symmetry_Int_Tables_number 166
_symmetry_space_group_name_Hall '-R 3 2"'
loop_
_atom_site_label
_atom_site_type_symbol
_atom_site_fract_x
_atom_site_fract_y
_atom_site_fract_z
Li1 Li 0.0000 0.0000 0.0773
Y1 Y 0.0000 0.0000 0.5000
Mg1 Mg 0.0000 0.0000 0.3643
Sn1 Sn 0.0000 0.0000 0.2400
```



No. 8
For Sr2Li9Mg6, a crystal structure in Alexandria, relaxed with GGA-PBE gives the theoretical X-ray diffraction stick pattern in this record (λ = 1.5418 Å (Cu Kα)).
Peak positions follow from Bragg's law for the DFT cell and can differ from measured ones.

Most intense lines, 5 to 70 degrees two-theta, low angle first:
| d/Å | I/Imax | h k l |
| --- | --- | --- |
| 15.093 | 66 | 0 0 1 |
| 5.031 | 62 | 0 0 3 |
| 4.935 | 34 | 1 0 1 |
| 3.623 | 26 | 1 0 3 |
| 3.015 | 65 | 1 1 0 |
| 2.586 | 100 | 1 1 3 |
| 1.932 | 34 | 1 1 6 |
| 1.645 | 24 | 3 0 3 |

Structure:
```
data_Sr2Li9Mg6
_chemical_formula_sum 'Sr2 Li9 Mg6'
_cell_length_a 6.0299
_cell_length_b 6.0299
_cell_length_c 15.0930
_cell_angle_alpha 90.00
_cell_angle_beta 90.00
_cell_angle_gamma 120.00
_symmetry_space_group_name_H-M 'P 6/m m m'
_symmetry_Int_Tables_number 191
_symmetry_space_group_name_Hall '-P 6 2'
loop_
_atom_site_label
_atom_site_type_symbol
_atom_site_fract_x
_atom_site_fract_y
_atom_site_fract_z
Sr1 Sr 0.0000 0.0000 0.1656
Li1 Li 0.0000 0.5000 0.0000
Li2 Li 0.0000 0.5000 0.3322
Mg1 Mg 0.3333 0.6667 0.1664
Mg2 Mg 0.3333 0.6667 0.5000
```



No. 9
For Sr2Li7Mg, a crystal structure in Alexandria, relaxed with GGA-PBE gives the theoretical X-ray diffraction stick pattern in this record (λ = 1.5418 Å (Cu Kα)).
Peak positions follow from Bragg's law for the DFT cell and can differ from measured ones.

Most intense lines, 5 to 70 degrees two-theta, low angle first:
| d/Å | I/Imax | h k l |
| --- | --- | --- |
| 5.270 | 51 | 2 0 0 |
| 3.727 | 100 | 2 2 0 |
| 3.043 | 32 | 2 2 2 |
| 2.635 | 29 | 4 0 0 |
| 2.357 | 27 | 4 2 0 |
| 2.152 | 44 | 4 2 2 |
| 1.863 | 21 | 4 4 0 |
| 1.409 | 22 | 6 4 2 |

Structure:
```
data_Sr2Li7Mg
_chemical_formula_sum 'Sr8 Li28 Mg4'
_cell_length_a 10.541
_cell_length_b 10.541
_cell_length_c 10.541
_cell_angle_alpha 90.00
_cell_angle_beta 90.00
_cell_angle_gamma 90.00
_symmetry_space_group_name_H-M 'F m -3 m'
_symmetry_Int_Tables_number 225
_symmetry_space_group_name_Hall '-F 4 2 3'
loop_
_atom_site_label
_atom_site_type_symbol
_atom_site_fract_x
_atom_site_fract_y
_atom_site_fract_z
Sr1 Sr 0.250 0.250 0.250
Li1 Li 0.000 0.000 0.000
Li2 Li 0.000 0.000 0.242
Mg1 Mg 0.000 0.000 0.500
```



No. 10
For Sr2Li16Mg, a crystal structure in Alexandria, relaxed with GGA-PBE gives the theoretical X-ray diffraction stick pattern in this record (λ = 1.5418 Å (Cu Kα)).
Peak positions follow from Bragg's law for the DFT cell and can differ from measured ones.

Most intense lines, 5 to 70 degrees two-theta, low angle first:
| d/Å | I/Imax | h k l |
| --- | --- | --- |
| 7.671 | 34 | 1 0 1 |
| 5.171 | 100 | 1 1 0 |
| 3.577 | 73 | 1 1 3 |
| 3.432 | 25 | 1 0 4 |
| 2.986 | 38 | 3 0 0 |
| 2.586 | 32 | 2 2 0 |
| 2.557 | 44 | 3 0 3 |
| 2.502 | 24 | 2 1 4 |

Structure:
```
data_Sr2Li16Mg
_chemical_formula_sum 'Sr6 Li48 Mg3'
_cell_length_a 10.3426
_cell_length_b 10.3426
_cell_length_c 14.8599
_cell_angle_alpha 90.00
_cell_angle_beta 90.00
_cell_angle_gamma 120.00
_symmetry_space_group_name_H-M 'R 3 m'
_symmetry_Int_Tables_number 160
_symmetry_space_group_name_Hall 'R 3 -2"'
loop_
_atom_site_label
_atom_site_type_symbol
_atom_site_fract_x
_atom_site_fract_y
_atom_site_fract_z
Sr1 Sr 0.0000 0.0000 0.0000
Sr2 Sr 0.0000 0.0000 0.3085
Li1 Li 0.0000 0.0000 0.5537
Li2 Li 0.0000 0.2829 0.6559
Li3 Li 0.0110 0.5055 0.5059
Li4 Li 0.1678 0.3356 0.4894
Li5 Li 0.1704 0.3408 0.1387
Mg1 Mg 0.0000 0.0000 0.7496
```



No. 11
For Sr2Li5Mg12, a crystal structure in Alexandria, relaxed with GGA-PBE gives the theoretical X-ray diffraction stick pattern in this record (λ = 1.5418 Å (Cu Kα)).
Peak positions follow from Bragg's law for the DFT cell and can differ from measured ones.

Most intense lines, 5 to 70 degrees two-theta, low angle first:
| d/Å | I/Imax | h k l |
| --- | --- | --- |
| 7.763 | 43 | 1 0 1 |
| 3.622 | 45 | 1 1 3 |
| 3.339 | 35 | 2 1 1 |
| 3.020 | 41 | 3 0 0 |
| 2.895 | 44 | 0 2 4 |
| 2.615 | 35 | 2 2 0 |
| 2.588 | 100 | 3 0 3 |
| 2.510 | 26 | 0 0 6 |

Structure:
```
data_Sr2Li5Mg12
_chemical_formula_sum 'Sr6 Li15 Mg36'
_cell_length_a 10.4606
_cell_length_b 10.4606
_cell_length_c 15.0583
_cell_angle_alpha 90.00
_cell_angle_beta 90.00
_cell_angle_gamma 120.00
_symmetry_space_group_name_H-M 'R -3 m'
_symmetry_Int_Tables_number 166
_symmetry_space_group_name_Hall '-R 3 2"'
loop_
_atom_site_label
_atom_site_type_symbol
_atom_site_fract_x
_atom_site_fract_y
_atom_site_fract_z
Sr1 Sr 0.0000 0.0000 0.1530
Li1 Li 0.0000 0.0000 0.4049
Li2 Li 0.0000 0.5000 0.0000
Mg1 Mg 0.0000 0.2946 0.5000
Mg2 Mg 0.0097 0.5048 0.3476
```



No. 12
For Sr16Li12Mg, a crystal structure in Alexandria, relaxed with GGA-PBE gives the theoretical X-ray diffraction stick pattern in this record (λ = 1.5418 Å (Cu Kα)).
Peak positions follow from Bragg's law for the DFT cell and can differ from measured ones.

Most intense lines, 5 to 70 degrees two-theta, low angle first:
| d/Å | I/Imax | h k l |
| --- | --- | --- |
| 5.280 | 58 | 2 2 -1 |
| 5.135 | 31 | 1 3 -1 |
| 3.397 | 38 | 3 3 -2 |
| 3.310 | 55 | 0 0 3 |
| 3.265 | 100 | 3 3 0 |
| 2.999 | 66 | 1 5 -2 |
| 2.988 | 38 | 4 0 -3 |
| 2.963 | 81 | 0 6 0 |

Structure:
```
data_Sr16Li12Mg
_chemical_formula_sum 'Sr32 Li24 Mg2'
_cell_length_a 13.251
_cell_length_b 17.757
_cell_length_c 11.204
_cell_angle_alpha 90.00
_cell_angle_beta 117.57
_cell_angle_gamma 90.00
_symmetry_space_group_name_H-M 'C 1 m 1'
_symmetry_Int_Tables_number 8
loop_
_symmetry_equiv_pos_as_xyz
'x,y,z'
'x,-y,z'
'x+1/2,y+1/2,z'
'x+1/2,-y+1/2,z'
loop_
_atom_site_label
_atom_site_type_symbol
_atom_site_fract_x
_atom_site_fract_y
_atom_site_fract_z
Sr1 Sr 0.000 0.000 0.000
Sr2 Sr 0.012 0.384 0.379
Sr3 Sr 0.115 0.500 0.765
Sr4 Sr 0.190 0.191 0.012
Sr5 Sr 0.269 0.000 0.699
Sr6 Sr 0.294 0.311 0.364
Sr7 Sr 0.303 0.324 0.786
Sr8 Sr 0.463 0.190 0.673
Sr9 Sr 0.479 0.500 0.363
Sr10 Sr 0.494 0.121 0.019
Li1 Li 0.018 0.095 0.689
Li2 Li 0.129 0.186 0.520
Li3 Li 0.186 0.500 0.262
Li4 Li 0.230 0.089 0.342
Li5 Li 0.274 0.406 0.068
Li6 Li 0.294 0.500 0.574
Li7 Li 0.497 0.307 0.190
Mg1 Mg 0.304 0.000 0.105
```



No. 13
For Sr5Li2Mg, a crystal structure in Alexandria, relaxed with GGA-PBE gives the theoretical X-ray diffraction stick pattern in this record (λ = 1.5418 Å (Cu Kα)).
Peak positions follow from Bragg's law for the DFT cell and can differ from measured ones.

Most intense lines, 5 to 70 degrees two-theta, low angle first:
| d/Å | I/Imax | h k l |
| --- | --- | --- |
| 4.511 | 33 | 1 1 1 |
| 3.978 | 64 | 1 2 1 |
| 3.157 | 83 | 2 1 1 |
| 3.125 | 100 | 0 4 1 |
| 3.021 | 55 | 0 0 2 |
| 3.009 | 42 | 2 3 0 |
| 2.132 | 32 | 2 3 2 |
| 1.769 | 31 | 4 2 1 |

Structure:
```
data_Sr5Li2Mg
_chemical_formula_sum 'Sr10 Li4 Mg2'
_cell_length_a 7.653
_cell_length_b 14.607
_cell_length_c 6.043
_cell_angle_alpha 90.00
_cell_angle_beta 90.00
_cell_angle_gamma 90.00
_symmetry_space_group_name_H-M 'P b a m'
_symmetry_Int_Tables_number 55
loop_
_symmetry_equiv_pos_as_xyz
'x,y,z'
'-x,-y,-z'
'-x,-y,z'
'x,y,-z'
'x+1/2,-y+1/2,-z'
'-x+1/2,y+1/2,z'
'-x+1/2,y+1/2,-z'
'x+1/2,-y+1/2,z'
loop_
_atom_site_label
_atom_site_type_symbol
_atom_site_fract_x
_atom_site_fract_y
_atom_site_fract_z
Sr1 Sr 0.000 0.000 0.000
Sr2 Sr 0.146 0.274 0.000
Sr3 Sr 0.162 0.610 0.500
Li1 Li 0.149 0.869 0.500
Mg1 Mg 0.000 0.500 0.000
```